No. 1
Computed powder diffraction line list
Compound: Pr5P12Ru19
Radiation: Cu Kα, 1.54184 Å
Structure: DFT lattice parameters and positions (PBE)
Neutral-atom scattering factors, no anomalous dispersion.

Cell: 12.6652 12.6652 4.0263 Å, 90.00 90.00 120.00°
Space group P-62m (No. 189)
Asymmetric unit:
Pr: 0.0000 0.8159 0.0000 [3 per cell]
Pr: 0.3333 0.6667 0.5000 [2 per cell]
P: 0.0000 0.1878 0.5000 [3 per cell]
P: 0.0000 0.6249 0.5000 [3 per cell]
P: 0.1704 0.4762 0.0000 [6 per cell]
Ru: 0.0000 0.0000 0.5000 [1 per cell]
Ru: 0.0000 0.2852 0.0000 [3 per cell]
Ru: 0.0000 0.4453 0.5000 [3 per cell]
Ru: 0.1244 0.6336 0.0000 [6 per cell]
Ru: 0.1844 0.3785 0.5000 [6 per cell]

Peak list (8 most intense, 15 to 90 degrees two-theta, low angle first)
- 2θ = 28.18°, 3.166 Å, I = 16, hkl 2 2 0
- 2θ = 36.09°, 2.489 Å, I = 100, hkl 2 2 1
- 2θ = 37.04°, 2.427 Å, I = 25, hkl 3 1 1
- 2θ = 37.58°, 2.393 Å, I = 11, hkl 4 1 0
- 2θ = 45.03°, 2.013 Å, I = 24, hkl 0 0 2
- 2θ = 49.89°, 1.828 Å, I = 14, hkl 6 0 0
- 2θ = 69.45°, 1.353 Å, I = 10, hkl 6 0 2
- 2θ = 77.19°, 1.236 Å, I = 13, hkl 2 2 3

No. 2
Computed powder diffraction line list
Compound: PrPS4
Radiation: Cu Kα, 1.54184 Å
Structure: DFT lattice parameters and positions (PBE)
Neutral-atom scattering factors, no anomalous dispersion.

Cell: 11.099 11.099 19.524 Å, 90.00 90.00 90.00°
Space group I4_1/acd (No. 142, origin choice 2)
Asymmetric unit:
Pr: 0.000 0.250 0.125 [8 per cell]
Pr: 0.000 0.250 0.375 [8 per cell]
P: 0.037 0.000 0.250 [16 per cell]
S: 0.066 0.001 0.837 [32 per cell]
S: 0.093 0.115 0.001 [32 per cell]

Peak list (8 most intense, 15 to 90 degrees two-theta, low angle first)
- 2θ = 15.97°, 5.550 Å, I = 100, hkl 2 0 0
- 2θ = 24.28°, 3.665 Å, I = 65, hkl 2 0 4
- 2θ = 29.20°, 3.058 Å, I = 53, hkl 2 2 4
- 2θ = 32.25°, 2.776 Å, I = 21, hkl 4 0 0
- 2θ = 36.19°, 2.482 Å, I = 37, hkl 4 2 0
- 2θ = 37.28°, 2.412 Å, I = 46, hkl 4 0 4
- 2θ = 40.37°, 2.234 Å, I = 24, hkl 2 0 8
- 2θ = 40.78°, 2.212 Å, I = 54, hkl 4 2 4